The following is a simulated powder diffraction line list of HgIBr. It was derived from a cell relaxed with PBE, using Cu Kα (weighted mean of Kα1 and Kα2).

Structural model:
```
HgIBr
1.0
4.376 0.000 0.000
0.000 4.376 0.000
0.000 0.000 12.351
Hg I Br
2 2 2
direct
0.000 0.000 0.000
0.500 0.500 0.500
0.000 0.500 0.647
0.500 0.000 0.353
0.000 0.500 0.127
0.500 0.000 0.873
```

Peak list (10 most intense, 15° ≤ 2θ ≤ 90°, low angle first)
2θ 21.54, I = 95.9
2θ 24.94, I = 67.6
2θ 29.79, I = 41.6
2θ 32.36, I = 46.9
2θ 41.29, I = 100.0
2θ 42.00, I = 18.3
2θ 47.01, I = 26.6
2θ 48.83, I = 28.1
2θ 51.72, I = 18.3
2θ 75.27, I = 30.7



The following is a simulated powder diffraction line list of HgIBr. It was derived from a cell relaxed with PBE, using Cu Kα (weighted mean of Kα1 and Kα2).

Structural model:
```
HgIBr
1.0
4.383 0.000 0.000
0.000 4.383 0.000
0.000 0.000 12.391
Hg I Br
2 2 2
direct
0.000 0.500 0.000
0.500 0.000 0.500
0.000 0.000 0.356
0.000 0.000 0.856
0.500 0.500 0.130
0.500 0.500 0.630
```

Peak list (10 most intense, 15° ≤ 2θ ≤ 90°, low angle first)
2θ 21.50, I = 87.6
2θ 24.88, I = 67.6
2θ 29.72, I = 40.1
2θ 32.30, I = 45.7
2θ 41.20, I = 100.0
2θ 43.83, I = 18.2
2θ 46.93, I = 23.5
2θ 48.73, I = 29.9
2θ 51.61, I = 17.8
2θ 75.09, I = 32.2



The following is a simulated powder diffraction line list of HgIBr. It was derived from a cell relaxed with PBE, using Cu Kα (weighted mean of Kα1 and Kα2).

Structural model:
```
HgIBr
1.0
4.311 0.000 0.000
0.000 4.472 0.000
0.000 0.000 12.555
Hg I Br
2 2 2
direct
0.250 0.250 0.245
0.750 0.750 0.755
0.250 0.750 0.385
0.750 0.250 0.615
0.250 0.750 0.886
0.750 0.250 0.114
```

Peak list (10 most intense, 15° ≤ 2θ ≤ 90°, low angle first)
2θ 21.09, I = 49.2
2θ 21.80, I = 82.1
2θ 24.44, I = 59.3
2θ 25.06, I = 43.1
2θ 29.23, I = 42.1
2θ 32.17, I = 61.5
2θ 40.34, I = 27.1
2θ 40.89, I = 100.0
2θ 41.92, I = 24.3
2θ 73.73, I = 25.6



The following is a simulated powder diffraction line list of Hg3Te2IBr. It was derived from a cell relaxed with PBE, using Cu Kα (weighted mean of Kα1 and Kα2).

Structural model:
```
Hg3Te2IBr
1.0
9.279 -4.817 0.000
9.279 4.817 0.000
-0.024 0.000 10.709
Hg Te I Br
12 8 4 4
direct
0.000 0.000 0.000
0.017 0.437 0.293
0.127 0.124 0.704
0.264 0.691 0.721
0.280 0.229 0.999
0.309 0.736 0.279
0.453 0.299 0.302
0.541 0.459 0.000
0.563 0.983 0.707
0.701 0.547 0.698
0.771 0.720 0.001
0.876 0.873 0.296
0.025 0.016 0.253
0.281 0.261 0.745
0.300 0.162 0.248
0.547 0.410 0.748
0.590 0.453 0.252
0.739 0.719 0.255
0.838 0.700 0.752
0.984 0.975 0.747
0.163 0.587 0.474
0.168 0.591 0.028
0.409 0.832 0.972
0.413 0.837 0.526
0.661 0.080 0.022
0.667 0.089 0.496
0.911 0.333 0.504
0.920 0.339 0.978
```

Peak list (10 most intense, 15° ≤ 2θ ≤ 90°, low angle first)
2θ 24.92, I = 60.3
2θ 26.68, I = 33.8
2θ 27.97, I = 44.1
2θ 30.07, I = 67.5
2θ 31.56, I = 100.0
2θ 33.47, I = 63.2
2θ 37.33, I = 50.2
2θ 38.82, I = 47.5
2θ 43.30, I = 31.5
2θ 51.00, I = 27.2



The following is a simulated powder diffraction line list of InHg3S4Br. It was derived from a cell relaxed with PBE, using Cu Kα (weighted mean of Kα1 and Kα2).

Structural model:
```
InHg3S4Br
1.0
7.922 0.000 0.000
-3.961 6.861 0.000
0.000 0.000 10.082
In Hg S Br
2 6 8 2
direct
0.000 0.000 0.000
0.000 0.000 0.500
0.011 0.506 0.412
0.494 0.506 0.412
0.494 0.989 0.412
0.506 0.011 0.912
0.506 0.494 0.912
0.989 0.494 0.912
0.173 0.347 0.032
0.173 0.827 0.032
0.333 0.667 0.300
0.347 0.173 0.532
0.653 0.827 0.032
0.667 0.333 0.800
0.827 0.173 0.532
0.827 0.653 0.532
0.333 0.667 0.715
0.667 0.333 0.215
```

Peak list (10 most intense, 15° ≤ 2θ ≤ 90°, low angle first)
2θ 17.59, I = 53.9
2θ 21.88, I = 20.9
2θ 25.97, I = 63.3
2θ 28.66, I = 11.7
2θ 31.55, I = 100.0
2θ 44.61, I = 28.6
2θ 45.81, I = 32.1
2θ 49.44, I = 22.6
2θ 56.69, I = 18.9
2θ 75.75, I = 16.0



The following is a simulated powder diffraction line list of YInHg2Br6. It was derived from a cell relaxed with PBE, using Cu Kα (weighted mean of Kα1 and Kα2).

Structural model:
```
YInHg2Br6
1.0
0.000 5.508 5.508
5.508 0.000 5.508
5.508 5.508 0.000
Y In Hg Br
1 1 2 6
direct
0.000 0.000 0.000
0.500 0.500 0.500
0.250 0.250 0.250
0.750 0.750 0.750
0.254 0.254 0.746
0.254 0.746 0.254
0.254 0.746 0.746
0.746 0.254 0.254
0.746 0.254 0.746
0.746 0.746 0.254
```

Peak list (10 most intense, 15° ≤ 2θ ≤ 90°, low angle first)
2θ 22.83, I = 77.7
2θ 28.06, I = 75.7
2θ 32.51, I = 100.0
2θ 40.10, I = 37.1
2θ 46.64, I = 72.3
2θ 55.31, I = 34.0
2θ 58.00, I = 25.0
2θ 63.16, I = 19.8
2θ 77.50, I = 32.3
2θ 86.57, I = 25.1



The following is a simulated powder diffraction line list of Rb2HgIrBr6. It was derived from a cell relaxed with PBE, using Cu Kα (weighted mean of Kα1 and Kα2).

Structural model:
```
Rb2HgIrBr6
1.0
0.000 5.467 5.467
5.467 0.000 5.467
5.467 5.467 0.000
Rb Hg Ir Br
2 1 1 6
direct
0.250 0.250 0.250
0.750 0.750 0.750
0.000 0.000 0.000
0.500 0.500 0.500
0.269 0.269 0.731
0.269 0.731 0.269
0.269 0.731 0.731
0.731 0.269 0.269
0.731 0.269 0.731
0.731 0.731 0.269
```

Peak list (10 most intense, 15° ≤ 2θ ≤ 90°, low angle first)
2θ 16.21, I = 74.5
2θ 23.01, I = 74.2
2θ 32.76, I = 100.0
2θ 36.76, I = 36.7
2θ 40.42, I = 32.0
2θ 47.02, I = 69.6
2θ 58.49, I = 23.2
2θ 63.70, I = 20.3
2θ 78.20, I = 28.3
2θ 87.40, I = 21.3



The following is a simulated powder diffraction line list of K2HgTeBr6. It was derived from a cell relaxed with PBE, using Cu Kα (weighted mean of Kα1 and Kα2).

Structural model:
```
K2HgTeBr6
1.0
0.000 5.790 5.790
5.790 0.000 5.790
5.790 5.790 0.000
K Hg Te Br
2 1 1 6
direct
0.250 0.250 0.250
0.750 0.750 0.750
0.000 0.000 0.000
0.500 0.500 0.500
0.259 0.259 0.741
0.259 0.741 0.259
0.259 0.741 0.741
0.741 0.259 0.259
0.741 0.259 0.741
0.741 0.741 0.259
```

Peak list (10 most intense, 15° ≤ 2θ ≤ 90°, low angle first)
2θ 15.30, I = 100.0
2θ 21.71, I = 32.5
2θ 30.89, I = 92.0
2θ 34.64, I = 55.1
2θ 44.25, I = 66.3
2θ 47.09, I = 29.5
2θ 54.94, I = 22.8
2θ 66.60, I = 16.8
2θ 73.09, I = 28.6
2θ 81.43, I = 21.4



The following is a simulated powder diffraction line list of NaHg2BrO2. It was derived from a cell relaxed with PBE, using Cu Kα (weighted mean of Kα1 and Kα2).

Structural model:
```
NaHg2BrO2
1.0
6.653 0.000 0.000
-3.327 5.762 0.000
0.000 0.000 9.847
Na Hg Br O
3 6 3 6
direct
0.000 0.000 0.000
0.000 0.000 0.333
0.000 0.000 0.667
0.000 0.500 0.494
0.000 0.500 0.839
0.500 0.000 0.172
0.500 0.000 0.828
0.500 0.500 0.161
0.500 0.500 0.506
0.000 0.500 0.167
0.500 0.000 0.500
0.500 0.500 0.833
0.146 0.291 0.500
0.146 0.854 0.833
0.291 0.146 0.167
0.709 0.854 0.167
0.854 0.146 0.833
0.854 0.709 0.500
```

Peak list (10 most intense, 15° ≤ 2θ ≤ 90°, low angle first)
2θ 15.38, I = 32.8
2θ 17.84, I = 19.5
2θ 27.17, I = 46.6
2θ 31.04, I = 100.0
2θ 31.36, I = 24.4
2θ 38.53, I = 17.5
2θ 41.71, I = 73.1
2θ 55.22, I = 23.0
2θ 62.61, I = 26.1
2θ 65.45, I = 23.5



The following is a simulated powder diffraction line list of Rb2NiHgBr6. It was derived from a cell relaxed with PBE, using Cu Kα (weighted mean of Kα1 and Kα2).

Structural model:
```
Rb2NiHgBr6
1.0
0.000 5.360 5.360
5.360 0.000 5.360
5.360 5.360 0.000
Rb Ni Hg Br
2 1 1 6
direct
0.250 0.250 0.250
0.750 0.750 0.750
0.000 0.000 0.000
0.500 0.500 0.500
0.233 0.233 0.767
0.233 0.767 0.233
0.233 0.767 0.767
0.767 0.233 0.233
0.767 0.233 0.767
0.767 0.767 0.233
```

Peak list (10 most intense, 15° ≤ 2θ ≤ 90°, low angle first)
2θ 16.54, I = 44.6
2θ 23.47, I = 46.1
2θ 28.85, I = 36.1
2θ 33.44, I = 100.0
2θ 37.52, I = 21.1
2θ 41.26, I = 19.2
2θ 48.01, I = 68.7
2θ 59.77, I = 22.8
2θ 80.06, I = 27.9
2θ 89.60, I = 21.2



The following is a simulated powder diffraction line list of Hg7P4Br6. It was derived from a cell relaxed with PBE, using Cu Kα (weighted mean of Kα1 and Kα2).

Structural model:
```
Hg7P4Br6
1.0
6.183 0.000 0.000
0.000 20.282 0.000
-1.854 0.000 7.515
Hg P Br
14 8 12
direct
0.000 0.000 0.000
0.000 0.500 0.500
0.090 0.232 0.189
0.090 0.268 0.689
0.218 0.589 0.991
0.218 0.911 0.491
0.493 0.637 0.578
0.493 0.863 0.078
0.507 0.137 0.922
0.507 0.363 0.422
0.782 0.089 0.509
0.782 0.411 0.009
0.910 0.732 0.311
0.910 0.768 0.811
0.123 0.178 0.910
0.123 0.322 0.410
0.143 0.603 0.664
0.143 0.897 0.164
0.857 0.103 0.836
0.857 0.397 0.336
0.877 0.678 0.590
0.877 0.822 0.090
0.187 0.112 0.418
0.187 0.388 0.918
0.363 0.711 0.207
0.363 0.789 0.707
0.399 0.520 0.278
0.399 0.980 0.778
0.601 0.020 0.222
0.601 0.480 0.722
0.637 0.211 0.293
0.637 0.289 0.793
0.813 0.612 0.082
0.813 0.888 0.582
```

Peak list (10 most intense, 15° ≤ 2θ ≤ 90°, low angle first)
2θ 19.78, I = 30.2
2θ 22.96, I = 29.3
2θ 24.86, I = 22.5
2θ 24.94, I = 33.3
2θ 25.15, I = 29.2
2θ 25.28, I = 26.6
2θ 29.61, I = 100.0
2θ 30.53, I = 44.2
2θ 32.21, I = 28.7
2θ 33.14, I = 22.3



The following is a simulated powder diffraction line list of Hg2PbS2Br2. It was derived from a cell relaxed with PBE, using Cu Kα (weighted mean of Kα1 and Kα2).

Structural model:
```
Hg2PbS2Br2
1.0
9.954 0.000 0.000
0.000 8.404 0.000
-6.081 0.000 10.184
Hg Pb S Br
8 4 8 8
direct
0.021 0.240 0.475
0.021 0.260 0.975
0.206 0.507 0.337
0.206 0.993 0.837
0.794 0.007 0.163
0.794 0.493 0.663
0.979 0.740 0.025
0.979 0.760 0.525
0.443 0.120 0.296
0.443 0.380 0.796
0.557 0.620 0.204
0.557 0.880 0.704
0.198 0.541 0.131
0.198 0.959 0.631
0.200 0.023 0.036
0.200 0.477 0.536
0.800 0.523 0.464
0.800 0.977 0.964
0.802 0.041 0.369
0.802 0.459 0.869
0.140 0.135 0.284
0.140 0.365 0.784
0.464 0.692 0.899
0.464 0.808 0.399
0.536 0.192 0.601
0.536 0.308 0.101
0.860 0.635 0.216
0.860 0.865 0.716
```

Peak list (10 most intense, 15° ≤ 2θ ≤ 90°, low angle first)
2θ 20.83, I = 98.8
2θ 22.89, I = 55.1
2θ 24.51, I = 68.4
2θ 26.01, I = 62.4
2θ 27.52, I = 34.1
2θ 29.83, I = 100.0
2θ 32.91, I = 35.8
2θ 33.18, I = 29.9
2θ 34.78, I = 42.6
2θ 36.27, I = 39.3



What did the eleventh record say?
The following is a simulated powder diffraction line list of Hg7P4Br6. It was derived from a cell relaxed with PBE, using Cu Kα (weighted mean of Kα1 and Kα2).

Structural model:
```
Hg7P4Br6
1.0
6.183 0.000 0.000
0.000 20.282 0.000
-1.854 0.000 7.515
Hg P Br
14 8 12
direct
0.000 0.000 0.000
0.000 0.500 0.500
0.090 0.232 0.189
0.090 0.268 0.689
0.218 0.589 0.991
0.218 0.911 0.491
0.493 0.637 0.578
0.493 0.863 0.078
0.507 0.137 0.922
0.507 0.363 0.422
0.782 0.089 0.509
0.782 0.411 0.009
0.910 0.732 0.311
0.910 0.768 0.811
0.123 0.178 0.910
0.123 0.322 0.410
0.143 0.603 0.664
0.143 0.897 0.164
0.857 0.103 0.836
0.857 0.397 0.336
0.877 0.678 0.590
0.877 0.822 0.090
0.187 0.112 0.418
0.187 0.388 0.918
0.363 0.711 0.207
0.363 0.789 0.707
0.399 0.520 0.278
0.399 0.980 0.778
0.601 0.020 0.222
0.601 0.480 0.722
0.637 0.211 0.293
0.637 0.289 0.793
0.813 0.612 0.082
0.813 0.888 0.582
```

Peak list (10 most intense, 15° ≤ 2θ ≤ 90°, low angle first)
2θ 19.78, I = 30.2
2θ 22.96, I = 29.3
2θ 24.86, I = 22.5
2θ 24.94, I = 33.3
2θ 25.15, I = 29.2
2θ 25.28, I = 26.6
2θ 29.61, I = 100.0
2θ 30.53, I = 44.2
2θ 32.21, I = 28.7
2θ 33.14, I = 22.3